1.
This entry pairs a crystal structure of NdMn4Al8 with its simulated powder XRD pattern. Radiation: CuKα. Structure: DFT lattice parameters and positions (GGA-PBE).
Kinematic intensities with the Lorentz-polarization factor, no thermal factor.

Crystal structure
```
data_NdMn4Al8
_chemical_formula_sum 'Nd2 Mn8 Al16'
_cell_length_a 8.8832
_cell_length_b 8.8832
_cell_length_c 5.1960
_cell_angle_alpha 90.00
_cell_angle_beta 90.00
_cell_angle_gamma 90.00
_symmetry_space_group_name_H-M 'I 4/m m m'
_symmetry_Int_Tables_number 139
_symmetry_space_group_name_Hall '-I 4 2'
loop_
_atom_site_label
_atom_site_fract_x
_atom_site_fract_y
_atom_site_fract_z
Nd1 0.0000 0.0000 0.0000
Mn1 0.2500 0.2500 0.2500
Al1 0.0000 0.2274 0.5000
Al2 0.0000 0.3403 0.0000
```

Principal peaks in the range 2θ = 5–70°, sorted by position:
- 6.281 Å, I = 397, (1 1 0)
- 4.485 Å, I = 430, (1 0 1)
- 3.156 Å, I = 601, (2 1 1)
- 3.141 Å, I = 385, (2 2 0)
- 2.809 Å, I = 281, (3 1 0)
- 2.573 Å, I = 451, (3 0 1)
- 2.243 Å, I = 1000, (2 0 2)
- 2.226 Å, I = 757, (3 2 1)
- 2.221 Å, I = 713, (4 0 0)
- 1.578 Å, I = 357, (4 2 2)

2.
This entry pairs a crystal structure of RbNaMg14O15 with its simulated powder XRD pattern. Radiation: CuKα. Structure: DFT lattice parameters and positions (GGA-PBE).
Kinematic intensities with the Lorentz-polarization factor, no thermal factor.

Crystal structure
```
data_RbNaMg14O15
_chemical_formula_sum 'Rb1 Na1 Mg14 O15'
_cell_length_a 4.4192
_cell_length_b 8.8162
_cell_length_c 8.4940
_cell_angle_alpha 90.00
_cell_angle_beta 90.00
_cell_angle_gamma 90.00
_symmetry_space_group_name_H-M 'P m m 2'
_symmetry_Int_Tables_number 25
_symmetry_space_group_name_Hall 'P 2 -2'
loop_
_atom_site_label
_atom_site_fract_x
_atom_site_fract_y
_atom_site_fract_z
Rb1 0.0000 0.0000 0.0000
Na1 0.0000 0.5000 0.4111
Mg1 0.0000 0.0000 0.4327
Mg2 0.0000 0.2487 0.6657
Mg3 0.0000 0.2832 0.1571
Mg4 0.0000 0.5000 0.9005
Mg5 0.5000 0.0000 0.1662
Mg6 0.5000 0.0000 0.6699
Mg7 0.5000 0.2509 0.4059
Mg8 0.5000 0.2554 0.9022
Mg9 0.5000 0.5000 0.1569
Mg10 0.5000 0.5000 0.6504
O1 0.0000 0.0000 0.6593
O2 0.0000 0.2234 0.3870
O3 0.0000 0.2706 0.9107
O4 0.0000 0.5000 0.1464
O5 0.0000 0.5000 0.6649
O6 0.5000 0.0000 0.3998
O7 0.5000 0.0000 0.9062
O8 0.5000 0.2374 0.1529
O9 0.5000 0.2495 0.6533
O10 0.5000 0.5000 0.3984
O11 0.5000 0.5000 0.9097
```

Principal peaks in the range 2θ = 5–70°, sorted by position:
- 8.494 Å, I = 200, (0 0 1)
- 3.060 Å, I = 164, (0 2 2)
- 2.893 Å, I = 186, (1 1 2)
- 2.515 Å, I = 459, (1 2 2)
- 2.210 Å, I = 1000, (2 0 0)
- 2.204 Å, I = 910, (0 4 0)
- 2.123 Å, I = 605, (0 0 4)
- 1.914 Å, I = 130, (1 0 4)
- 1.560 Å, I = 572, (2 4 0)
- 1.530 Å, I = 597, (2 0 4)

3.
This entry pairs a crystal structure of LiZrIr2 with its simulated powder XRD pattern. Radiation: CuKα. Structure: DFT lattice parameters and positions (GGA-PBE).
Kinematic intensities with the Lorentz-polarization factor, no thermal factor.

Crystal structure
```
data_LiZrIr2
_chemical_formula_sum 'Li4 Zr4 Ir8'
_cell_length_a 6.3048
_cell_length_b 6.3048
_cell_length_c 6.3048
_cell_angle_alpha 90.00
_cell_angle_beta 90.00
_cell_angle_gamma 90.00
_symmetry_space_group_name_H-M 'F m -3 m'
_symmetry_Int_Tables_number 225
_symmetry_space_group_name_Hall '-F 4 2 3'
loop_
_atom_site_label
_atom_site_fract_x
_atom_site_fract_y
_atom_site_fract_z
Li1 0.0000 0.0000 0.0000
Zr1 0.0000 0.0000 0.5000
Ir1 0.2500 0.2500 0.2500
```

Principal peaks in the range 2θ = 5–70°, sorted by position:
- 3.640 Å, I = 88, (1 1 1)
- 3.152 Å, I = 440, (2 0 0)
- 2.229 Å, I = 1000, (2 2 0)
- 1.901 Å, I = 41, (3 1 1)
- 1.820 Å, I = 127, (2 2 2)
- 1.576 Å, I = 170, (4 0 0)
- 1.446 Å, I = 16, (3 3 1)
- 1.410 Å, I = 169, (4 2 0)

4.
This entry pairs a crystal structure of Rb2LiTc2O8 with its simulated powder XRD pattern. Radiation: CuKα. Structure: DFT lattice parameters and positions (GGA-PBE).
Kinematic intensities with the Lorentz-polarization factor, no thermal factor.

Crystal structure
```
data_Rb2LiTc2O8
_chemical_formula_sum 'Rb2 Li1 Tc2 O8'
_cell_length_a 5.7026
_cell_length_b 6.3038
_cell_length_c 7.9331
_cell_angle_alpha 109.16
_cell_angle_beta 107.75
_cell_angle_gamma 98.03
_symmetry_space_group_name_H-M 'P 1'
_symmetry_Int_Tables_number 1
_symmetry_space_group_name_Hall 'P 1'
loop_
_atom_site_label
_atom_site_fract_x
_atom_site_fract_y
_atom_site_fract_z
Rb1 0.0000 0.0000 0.0000
Rb2 0.2800 0.8842 0.5565
Li1 0.4054 0.4025 0.4142
Tc1 0.5310 0.5489 0.0619
Tc2 0.8469 0.3013 0.5356
O1 0.0833 0.3431 0.4360
O2 0.3628 0.5199 0.2106
O3 0.3777 0.6734 0.9069
O4 0.5375 0.1244 0.3614
O5 0.5504 0.2721 0.9327
O6 0.7673 0.5712 0.6215
O7 0.8413 0.7274 0.2013
O8 0.9421 0.1601 0.6930
```

Principal peaks in the range 2θ = 5–70°, sorted by position:
- 3.809 Å, I = 820, (-1 1 1)
- 3.760 Å, I = 1000, (1 -1 1)
- 3.474 Å, I = 623, (0 0 2)
- 3.438 Å, I = 605, (1 1 0)
- 3.394 Å, I = 755, (1 1 -2)
- 3.120 Å, I = 345, (0 2 -1)
- 2.823 Å, I = 433, (2 0 -1)
- 2.619 Å, I = 196, (1 1 1)
- 2.348 Å, I = 210, (0 2 1)
- 2.191 Å, I = 359, (2 0 -3)

5.
This entry pairs a crystal structure of Na4Al3Ge3ClO12 with its simulated powder XRD pattern. Radiation: CuKα. Structure: DFT lattice parameters and positions (GGA-PBE).
Kinematic intensities with the Lorentz-polarization factor, no thermal factor.

Crystal structure
```
data_Na4Al3Ge3ClO12
_chemical_formula_sum 'Na8 Al6 Ge6 Cl2 O24'
_cell_length_a 9.1411
_cell_length_b 9.1411
_cell_length_c 9.1411
_cell_angle_alpha 90.00
_cell_angle_beta 90.00
_cell_angle_gamma 90.00
_symmetry_space_group_name_H-M 'P -4 3 n'
_symmetry_Int_Tables_number 218
_symmetry_space_group_name_Hall 'P -4n 2 3'
loop_
_atom_site_label
_atom_site_fract_x
_atom_site_fract_y
_atom_site_fract_z
Na1 0.1728 0.1728 0.1728
Al1 0.0000 0.2500 0.5000
Ge1 0.0000 0.5000 0.2500
Cl1 0.0000 0.0000 0.0000
O1 0.0738 0.3568 0.6436
```

Principal peaks in the range 2θ = 5–70°, sorted by position:
- 6.464 Å, I = 528, (1 1 0)
- 4.571 Å, I = 116, (2 0 0)
- 4.088 Å, I = 342, (2 1 0)
- 3.732 Å, I = 1000, (2 1 1)
- 2.891 Å, I = 164, (3 1 0)
- 2.639 Å, I = 364, (2 2 2)
- 2.443 Å, I = 357, (3 2 1)
- 2.155 Å, I = 146, (4 1 1)
- 1.616 Å, I = 240, (4 4 0)
- 1.483 Å, I = 152, (5 3 2)